Diffraction record for SmDyB2Ir2C2. The XRD peak list is calculated, not measured: it uses the GGA-PBE geometry in OQMD and copper Kα.
Neutral-atom scattering factors, no anomalous dispersion.

Most intense lines, 2θ = 10–90°, by angle:
h k l	2θ/deg	Rel. int.
0 0 1	11.3	56.5
1 0 1	26.3	39.8
1 0 2	33.1	30.3
0 0 3	34.4	44.7
1 1 1	35.7	100.0
1 1 2	41.1	65.4
2 0 0	48.4	37.3
1 1 4	58.6	27.6
2 0 3	60.8	35.0
3 1 1	82.0	18.7

Structural model:
a = 3.759 Å, b = 3.759 Å, c = 7.821 Å
α = 90.00°, β = 90.00°, γ = 90.00°
Space group P4mm (No. 99)
Unique sites:
Sm1 0.000 0.000 0.000
Dy1 0.500 0.500 0.674
B1 0.000 0.000 0.493
B2 0.500 0.500 0.178
Ir1 0.000 0.500 0.337
C1 0.000 0.000 0.686
C2 0.500 0.500 0.983